This entry pairs a crystal structure of Ti2Nb2Hg with its simulated powder XRD pattern. Radiation: a wavelength of 1.5418 Å. Structure: a crystal structure in Alexandria, relaxed with GGA-PBE.
Kinematic intensities with the Lorentz-polarization factor, no thermal factor.

Structural model:
```
data_Ti2Nb2Hg
_chemical_formula_sum 'Ti4 Nb4 Hg2'
_symmetry_space_group_name_H-M 'C 1 2/m 1'
_symmetry_Int_Tables_number 12
_symmetry_space_group_name_Hall '-C 2y'
_cell_length_a 14.035
_cell_length_b 4.451
_cell_length_c 2.936
_cell_angle_alpha 90.00
_cell_angle_beta 92.17
_cell_angle_gamma 90.00
loop_
_atom_site_label
_atom_site_fract_x
_atom_site_fract_y
_atom_site_fract_z
Ti1 0.106 0.000 0.485
Nb1 0.208 0.500 0.852
Hg1 0.000 0.500 0.000
```

Main lines, by angle (10° ≤ 2θ ≤ 90°):
2θ 20.94, rel. 58
2θ 37.47, rel. 95
2θ 37.92, rel. 100
2θ 39.29, rel. 45
2θ 40.54, rel. 43
2θ 57.73, rel. 29

---

This entry pairs a crystal structure of Pm4NdGa with its simulated powder XRD pattern. Radiation: a wavelength of 1.5418 Å. Structure: a crystal structure in Alexandria, relaxed with GGA-PBE.
Kinematic intensities with the Lorentz-polarization factor, no thermal factor.

Structural model:
```
data_Pm4NdGa
_chemical_formula_sum 'Pm4 Nd1 Ga1'
_symmetry_space_group_name_H-M 'P 1'
_symmetry_Int_Tables_number 1
_symmetry_space_group_name_Hall 'P 1'
_cell_length_a 3.786
_cell_length_b 6.510
_cell_length_c 8.729
_cell_angle_alpha 111.67
_cell_angle_beta 90.04
_cell_angle_gamma 106.90
loop_
_atom_site_label
_atom_site_fract_x
_atom_site_fract_y
_atom_site_fract_z
Pm1 0.000 0.000 0.000
Pm2 0.024 0.050 0.433
Pm3 0.694 0.391 0.843
Pm4 0.722 0.441 0.275
Nd1 0.361 0.720 0.637
Ga1 0.361 0.721 0.138
```

Main lines, by angle (10° ≤ 2θ ≤ 90°):
2θ 30.46, rel. 40
2θ 31.29, rel. 100
2θ 31.68, rel. 53
2θ 33.28, rel. 94
2θ 47.48, rel. 32
2θ 58.71, rel. 36

---

This entry pairs a crystal structure of Li3HfU3S8 with its simulated powder XRD pattern. Radiation: a wavelength of 1.5418 Å. Structure: a crystal structure in Alexandria, relaxed with GGA-PBE.
Kinematic intensities with the Lorentz-polarization factor, no thermal factor.

Structural model:
```
data_Li3HfU3S8
_chemical_formula_sum 'Li9 Hf3 U9 S24'
_symmetry_space_group_name_H-M 'R -3 m'
_symmetry_Int_Tables_number 166
_symmetry_space_group_name_Hall '-R 3 2"'
_cell_length_a 7.6427
_cell_length_b 7.6427
_cell_length_c 18.8301
_cell_angle_alpha 90.00
_cell_angle_beta 90.00
_cell_angle_gamma 120.00
loop_
_atom_site_label
_atom_site_fract_x
_atom_site_fract_y
_atom_site_fract_z
Li1 0.0000 0.5000 0.0000
Hf1 0.0000 0.0000 0.5000
U1 0.0000 0.5000 0.5000
S1 0.0000 0.0000 0.2537
S2 0.0188 0.5094 0.2480
```

Main lines, by angle (10° ≤ 2θ ≤ 90°):
2θ 14.11, rel. 100
2θ 27.36, rel. 65
2θ 28.59, rel. 30
2θ 33.09, rel. 73
2θ 36.13, rel. 32
2θ 47.40, rel. 26

---

This entry pairs a crystal structure of Cs4Rb16Na3 with its simulated powder XRD pattern. Radiation: a wavelength of 1.5418 Å. Structure: a crystal structure in Alexandria, relaxed with GGA-PBE.
Kinematic intensities with the Lorentz-polarization factor, no thermal factor.

Structural model:
```
data_Cs4Rb16Na3
_chemical_formula_sum 'Cs4 Rb16 Na3'
_symmetry_space_group_name_H-M 'P 4/m m m'
_symmetry_Int_Tables_number 123
_symmetry_space_group_name_Hall '-P 4 2'
_cell_length_a 10.306
_cell_length_b 10.306
_cell_length_c 19.648
_cell_angle_alpha 90.00
_cell_angle_beta 90.00
_cell_angle_gamma 90.00
loop_
_atom_site_label
_atom_site_fract_x
_atom_site_fract_y
_atom_site_fract_z
Cs1 0.000 0.500 0.188
Rb1 0.000 0.000 0.196
Rb2 0.230 0.230 0.000
Rb3 0.248 0.248 0.380
Rb4 0.500 0.500 0.203
Na1 0.000 0.500 0.500
Na2 0.500 0.500 0.000
```

Main lines, by angle (10° ≤ 2θ ≤ 90°):
2θ 19.45, rel. 50
2θ 21.95, rel. 100
2θ 22.63, rel. 28
2θ 24.43, rel. 61
2θ 33.54, rel. 39
2θ 41.54, rel. 35

---

This entry pairs a crystal structure of HgAs2Rh2 with its simulated powder XRD pattern. Radiation: a wavelength of 1.5418 Å. Structure: a crystal structure in Alexandria, relaxed with GGA-PBE.
Kinematic intensities with the Lorentz-polarization factor, no thermal factor.

Structural model:
```
data_HgAs2Rh2
_chemical_formula_sum 'Hg2 As4 Rh4'
_symmetry_space_group_name_H-M 'P 4/m b m'
_symmetry_Int_Tables_number 127
_symmetry_space_group_name_Hall '-P 4 2ab'
_cell_length_a 7.749
_cell_length_b 7.749
_cell_length_c 2.933
_cell_angle_alpha 90.00
_cell_angle_beta 90.00
_cell_angle_gamma 90.00
loop_
_atom_site_label
_atom_site_fract_x
_atom_site_fract_y
_atom_site_fract_z
Hg1 0.000 0.000 0.000
As1 0.141 0.359 0.000
Rh1 0.134 0.634 0.500
```

Main lines, by angle (10° ≤ 2θ ≤ 90°):
2θ 34.69, rel. 39
2θ 36.67, rel. 100
2θ 40.28, rel. 71
2θ 52.82, rel. 29
2θ 73.27, rel. 26
2θ 75.56, rel. 24

---

This entry pairs a crystal structure of CuPt2Au6 with its simulated powder XRD pattern. Radiation: a wavelength of 1.5418 Å. Structure: a crystal structure in Alexandria, relaxed with GGA-PBE.
Kinematic intensities with the Lorentz-polarization factor, no thermal factor.

Structural model:
```
data_CuPt2Au6
_chemical_formula_sum 'Cu2 Pt4 Au12'
_symmetry_space_group_name_H-M 'C 1 2/m 1'
_symmetry_Int_Tables_number 12
_symmetry_space_group_name_Hall '-C 2y'
_cell_length_a 9.057
_cell_length_b 4.028
_cell_length_c 8.797
_cell_angle_alpha 90.00
_cell_angle_beta 108.01
_cell_angle_gamma 90.00
loop_
_atom_site_label
_atom_site_fract_x
_atom_site_fract_y
_atom_site_fract_z
Cu1 0.000 0.000 0.000
Pt1 0.165 0.500 0.553
Au1 0.002 0.000 0.333
Au2 0.164 0.500 0.893
Au3 0.167 0.500 0.220
```

Main lines, by angle (10° ≤ 2θ ≤ 90°):
2θ 37.96, rel. 100
2θ 38.51, rel. 96
2θ 43.79, rel. 34
2θ 44.50, rel. 32
2θ 45.01, rel. 31
2θ 77.26, rel. 26

---

This entry pairs a crystal structure of ScTiAg with its simulated powder XRD pattern. Radiation: a wavelength of 1.5418 Å. Structure: a crystal structure in Alexandria, relaxed with GGA-PBE.
Kinematic intensities with the Lorentz-polarization factor, no thermal factor.

Structural model:
```
data_ScTiAg
_chemical_formula_sum 'Sc4 Ti4 Ag4'
_symmetry_space_group_name_H-M 'C 1 2/m 1'
_symmetry_Int_Tables_number 12
_symmetry_space_group_name_Hall '-C 2y'
_cell_length_a 12.434
_cell_length_b 3.081
_cell_length_c 6.263
_cell_angle_alpha 90.00
_cell_angle_beta 104.13
_cell_angle_gamma 90.00
loop_
_atom_site_label
_atom_site_fract_x
_atom_site_fract_y
_atom_site_fract_z
Sc1 0.158 0.000 0.086
Ti1 0.174 0.000 0.580
Ag1 0.003 0.500 0.730
```

Main lines, by angle (10° ≤ 2θ ≤ 90°):
2θ 14.69, rel. 47
2θ 36.22, rel. 51
2θ 36.51, rel. 48
2θ 36.75, rel. 100
2θ 41.10, rel. 70
2θ 45.12, rel. 26

---

This entry pairs a crystal structure of Th4Al5Cu2 with its simulated powder XRD pattern. Radiation: a wavelength of 1.5418 Å. Structure: a crystal structure in Alexandria, relaxed with GGA-PBE.
Kinematic intensities with the Lorentz-polarization factor, no thermal factor.

Structural model:
```
data_Th4Al5Cu2
_chemical_formula_sum 'Th4 Al5 Cu2'
_symmetry_space_group_name_H-M 'P 1 2/m 1'
_symmetry_Int_Tables_number 10
_symmetry_space_group_name_Hall '-P 2y'
_cell_length_a 7.462
_cell_length_b 3.483
_cell_length_c 9.667
_cell_angle_alpha 90.00
_cell_angle_beta 94.31
_cell_angle_gamma 90.00
loop_
_atom_site_label
_atom_site_fract_x
_atom_site_fract_y
_atom_site_fract_z
Th1 0.166 0.000 0.377
Th2 0.264 0.000 0.946
Al1 0.207 0.500 0.665
Al2 0.441 0.500 0.210
Al3 0.500 0.500 0.500
Cu1 0.057 0.500 0.135
```

Main lines, by angle (10° ≤ 2θ ≤ 90°):
2θ 21.20, rel. 80
2θ 33.45, rel. 94
2θ 34.47, rel. 79
2θ 35.30, rel. 81
2θ 38.37, rel. 100
2θ 39.20, rel. 62

---

This entry pairs a crystal structure of ScGaAs2O8 with its simulated powder XRD pattern. Radiation: a wavelength of 1.5418 Å. Structure: a crystal structure in Alexandria, relaxed with GGA-PBE.
Kinematic intensities with the Lorentz-polarization factor, no thermal factor.

Structural model:
```
data_ScGaAs2O8
_chemical_formula_sum 'Sc2 Ga2 As4 O16'
_symmetry_space_group_name_H-M 'I -4 m 2'
_symmetry_Int_Tables_number 119
_symmetry_space_group_name_Hall 'I -4 -2'
_cell_length_a 6.685
_cell_length_b 6.685
_cell_length_c 6.189
_cell_angle_alpha 90.00
_cell_angle_beta 90.00
_cell_angle_gamma 90.00
loop_
_atom_site_label
_atom_site_fract_x
_atom_site_fract_y
_atom_site_fract_z
Sc1 0.000 0.000 0.000
Ga1 0.000 0.500 0.750
As1 0.000 0.000 0.500
As2 0.000 0.500 0.250
O1 0.000 0.191 0.689
O2 0.000 0.313 0.061
```

Main lines, by angle (10° ≤ 2θ ≤ 90°):
2θ 26.67, rel. 100
2θ 34.65, rel. 65
2θ 38.07, rel. 14
2θ 52.42, rel. 60
2θ 54.94, rel. 16
2θ 66.60, rel. 31

---

This entry pairs a crystal structure of Hg4C3 with its simulated powder XRD pattern. Radiation: a wavelength of 1.5418 Å. Structure: a crystal structure in Alexandria, relaxed with GGA-PBE.
Kinematic intensities with the Lorentz-polarization factor, no thermal factor.

Structural model:
```
data_Hg4C3
_chemical_formula_sum 'Hg4 C3'
_symmetry_space_group_name_H-M 'P m -3 m'
_symmetry_Int_Tables_number 221
_symmetry_space_group_name_Hall '-P 4 2 3'
_cell_length_a 4.893
_cell_length_b 4.893
_cell_length_c 4.893
_cell_angle_alpha 90.00
_cell_angle_beta 90.00
_cell_angle_gamma 90.00
loop_
_atom_site_label
_atom_site_fract_x
_atom_site_fract_y
_atom_site_fract_z
Hg1 0.000 0.000 0.000
Hg2 0.000 0.500 0.500
C1 0.000 0.000 0.500
```

Main lines, by angle (10° ≤ 2θ ≤ 90°):
2θ 31.67, rel. 100
2θ 36.73, rel. 60
2θ 52.93, rel. 42
2θ 63.01, rel. 44
2θ 86.75, rel. 20
2θ 89.59, rel. 21

---

This entry pairs a crystal structure of Ca3Ag2Hg5 with its simulated powder XRD pattern. Radiation: a wavelength of 1.5418 Å. Structure: a crystal structure in Alexandria, relaxed with GGA-PBE.
Kinematic intensities with the Lorentz-polarization factor, no thermal factor.

Structural model:
```
data_Ca3Ag2Hg5
_chemical_formula_sum 'Ca12 Ag8 Hg20'
_symmetry_space_group_name_H-M 'I b a m'
_symmetry_Int_Tables_number 72
_symmetry_space_group_name_Hall '-I 2 2c'
_cell_length_a 8.960
_cell_length_b 12.277
_cell_length_c 10.016
_cell_angle_alpha 90.00
_cell_angle_beta 90.00
_cell_angle_gamma 90.00
loop_
_atom_site_label
_atom_site_fract_x
_atom_site_fract_y
_atom_site_fract_z
Ca1 0.000 0.000 0.250
Ca2 0.204 0.360 0.000
Ag1 0.043 0.126 0.000
Hg1 0.000 0.251 0.250
Hg2 0.000 0.500 0.250
Hg3 0.145 0.381 0.500
```

Main lines, by angle (10° ≤ 2θ ≤ 90°):
2θ 19.64, rel. 36
2θ 19.82, rel. 46
2θ 26.70, rel. 39
2θ 34.27, rel. 100
2θ 35.86, rel. 44
2θ 63.43, rel. 35